No. 1
# PaTl2Pb2
Computed powder X-ray diffraction pattern, Cu Kα, 1.54184 Å. Input: a PBE-relaxed structure.
No peak broadening, texture or thermal motion is included.

Principal peaks in the range 2θ = 5–70°, by angle:
two_theta	I_rel	h k l
26.39	21	1 0 3
30.95	100	1 1 2
34.89	46	1 0 5
36.78	21	1 1 4
41.15	41	2 0 0
45.02	16	1 0 7
55.02	27	2 1 5
59.60	14	2 2 0
66.15	19	1 1 10
68.67	21	3 1 2

Atomic structure:
Unit cell a=4.388 b=4.388 c=15.866 alpha=90.00 beta=90.00 gamma=90.00
Space group I4/mmm (No. 139)
Asymmetric unit:
Pa 0.000 0.000 0.000 (multiplicity 2)
Tl 0.000 0.500 0.250 (multiplicity 4)
Pb 0.000 0.000 0.407 (multiplicity 4)



No. 2
# PaPt3
Computed powder X-ray diffraction pattern, Cu Kα, 1.54184 Å. Input: a PBE-relaxed structure.
No peak broadening, texture or thermal motion is included.

Principal peaks in the range 2θ = 5–70°, by angle:
two_theta	I_rel	h k l
24.99	1	1 0 1
35.23	32	0 0 2
36.02	23	2 0 0
40.27	100	2 0 1
51.27	17	2 0 2
64.77	17	2 2 0
66.63	23	2 0 3

Atomic structure:
Unit cell a=5.7577 b=5.7577 c=5.0951 alpha=90.00 beta=90.00 gamma=120.00
Space group P6_3/mmc (No. 194)
Asymmetric unit:
Pa 0.3333 0.6667 0.2500 (multiplicity 2)
Pt 0.1656 0.3312 0.7500 (multiplicity 6)



No. 3
# PaPt
Computed powder X-ray diffraction pattern, Cu Kα, 1.54184 Å. Input: a PBE-relaxed structure.
No peak broadening, texture or thermal motion is included.

Principal peaks in the range 2θ = 5–70°, by angle:
two_theta	I_rel	h k l
27.56	34	1 0 0
36.07	100	1 0 1
46.62	11	0 0 2
48.73	29	1 1 0
55.01	10	1 0 2
56.89	5	2 0 0
62.10	21	2 0 1
69.72	20	1 1 2

Atomic structure:
Unit cell a=3.7377 b=3.7377 c=3.8968 alpha=90.00 beta=90.00 gamma=120.00
Space group P-6m2 (No. 187)
Asymmetric unit:
Pa 0.0000 0.0000 0.0000 (multiplicity 1)
Pt 0.6667 0.3333 0.5000 (multiplicity 1)



No. 4
# Pa4SeS6
Computed powder X-ray diffraction pattern, Cu Kα, 1.54184 Å. Input: a PBE-relaxed structure.
No peak broadening, texture or thermal motion is included.

Principal peaks in the range 2θ = 5–70°, by angle:
two_theta	I_rel	h k l
24.56	100	2 0 0
26.34	39	1 0 1
31.69	51	1 1 1
34.08	41	2 0 1
40.50	46	2 1 1
43.24	42	2 2 0
44.34	25	3 0 1
50.36	16	4 0 0
54.22	25	2 0 2
66.19	24	2 2 2

Atomic structure:
Unit cell a=8.3698 b=8.3698 c=3.8255 alpha=90.00 beta=90.00 gamma=120.00
Space group P-6m2 (No. 187)
Asymmetric unit:
Pa 0.0000 0.0000 0.0000 (multiplicity 1)
Pa 0.0234 0.5117 0.5000 (multiplicity 3)
Se 0.6667 0.3333 0.0000 (multiplicity 1)
S 0.2074 0.4149 0.0000 (multiplicity 3)
S 0.2743 0.1371 0.5000 (multiplicity 3)



No. 5
# PaSeS
Computed powder X-ray diffraction pattern, Cu Kα, 1.54184 Å. Input: a PBE-relaxed structure.
No peak broadening, texture or thermal motion is included.

Principal peaks in the range 2θ = 5–70°, by angle:
two_theta	I_rel	h k l
7.30	100	0 2 0
14.63	10	0 4 0
26.91	9	1 1 1
28.89	9	1 3 1
30.53	5	0 4 2
32.53	11	1 5 1
34.83	5	0 6 2
37.39	9	1 7 1
43.14	5	1 9 1
47.21	6	1 1 3

Atomic structure:
Unit cell a=3.862 b=24.225 c=6.690 alpha=90.00 beta=90.00 gamma=90.00
Space group Cmm2 (No. 35)
Asymmetric unit:
Pa 0.000 0.000 0.000 (multiplicity 2)
Pa 0.000 0.500 0.487 (multiplicity 2)
Se 0.000 0.427 0.826 (multiplicity 4)
S 0.000 0.067 0.328 (multiplicity 4)



No. 6
# PaSiS
Computed powder X-ray diffraction pattern, Cu Kα, 1.54184 Å. Input: a PBE-relaxed structure.
No peak broadening, texture or thermal motion is included.

Principal peaks in the range 2θ = 5–70°, by angle:
two_theta	I_rel	h k l
22.16	60	0 0 4
23.93	100	1 0 1
28.71	100	1 0 3
33.15	69	1 1 0
40.23	92	1 1 4
46.17	55	1 0 7
47.58	39	2 0 0
53.08	25	2 0 4
56.52	33	2 1 3
68.47	35	2 1 7

Atomic structure:
Unit cell a=3.822 b=3.822 c=16.048 alpha=90.00 beta=90.00 gamma=90.00
Space group I4/mmm (No. 139)
Asymmetric unit:
Pa 0.000 0.000 0.139 (multiplicity 4)
Si 0.000 0.500 0.000 (multiplicity 4)
S 0.000 0.000 0.317 (multiplicity 4)



No. 7
# PaSiSb
Computed powder X-ray diffraction pattern, Cu Kα, 1.54184 Å. Input: a PBE-relaxed structure.
No peak broadening, texture or thermal motion is included.

Principal peaks in the range 2θ = 5–70°, by angle:
two_theta	I_rel	h k l
23.11	19	1 1 1
26.74	90	2 0 0
38.18	100	2 2 0
45.10	11	3 1 1
47.23	27	2 2 2
55.10	17	4 0 0
60.54	5	3 3 1
62.28	35	4 2 0
69.01	36	4 2 2

Atomic structure:
Unit cell a=6.667 b=6.667 c=6.667 alpha=90.00 beta=90.00 gamma=90.00
Space group F-43m (No. 216)
Asymmetric unit:
Pa 0.000 0.000 0.000 (multiplicity 4)
Si 0.250 0.250 0.250 (multiplicity 4)
Sb 0.000 0.000 0.500 (multiplicity 4)



No. 8
# PaTcSb
Computed powder X-ray diffraction pattern, Cu Kα, 1.54184 Å. Input: a PBE-relaxed structure.
No peak broadening, texture or thermal motion is included.

Principal peaks in the range 2θ = 5–70°, by angle:
two_theta	I_rel	h k l
22.65	61	1 1 1
37.40	100	2 2 0
44.17	33	3 1 1
53.93	17	4 0 0
59.23	14	3 3 1
67.47	36	4 2 2

Atomic structure:
Unit cell a=6.800 b=6.800 c=6.800 alpha=90.00 beta=90.00 gamma=90.00
Space group F-43m (No. 216)
Asymmetric unit:
Pa 0.000 0.000 0.000 (multiplicity 4)
Tc 0.250 0.250 0.250 (multiplicity 4)
Sb 0.250 0.250 0.750 (multiplicity 4)



No. 9
# ScPa2Zn
Computed powder X-ray diffraction pattern, Cu Kα, 1.54184 Å. Input: a PBE-relaxed structure.
No peak broadening, texture or thermal motion is included.

Principal peaks in the range 2θ = 5–70°, by angle:
two_theta	I_rel	h k l
15.29	88	0 0 2
30.86	48	0 0 4
33.23	100	1 0 0
36.76	96	1 0 2
40.81	18	1 0 3
45.98	76	1 0 4
58.80	21	1 0 6
59.37	25	1 1 0
61.70	16	1 1 2
68.41	30	1 1 4

Atomic structure:
Unit cell a=3.1134 b=3.1134 c=11.5911 alpha=90.00 beta=90.00 gamma=120.00
Space group P-6m2 (No. 187)
Asymmetric unit:
Sc 0.0000 0.0000 0.0000 (multiplicity 1)
Pa 0.3333 0.6667 0.2376 (multiplicity 2)
Zn 0.3333 0.6667 0.5000 (multiplicity 1)



No. 10
# PaSe2
Computed powder X-ray diffraction pattern, Cu Kα, 1.54184 Å. Input: a PBE-relaxed structure.
No peak broadening, texture or thermal motion is included.

Principal peaks in the range 2θ = 5–70°, by angle:
two_theta	I_rel	h k l
9.27	100	0 0 4
13.93	45	0 0 6
26.38	20	1 1 1
28.81	38	1 1 5
29.87	22	0 2 6
31.06	25	1 1 7
35.42	19	0 2 10
37.08	44	1 1 11
38.83	16	0 2 12
46.42	35	2 0 0

Atomic structure:
Unit cell a=3.917 b=6.781 c=38.142 alpha=90.00 beta=90.00 gamma=90.00
Space group C222_1 (No. 20)
Asymmetric unit:
Pa 0.240 0.000 0.090 (multiplicity 8)
Se 0.240 0.334 0.864 (multiplicity 8)
Se 0.240 0.334 0.956 (multiplicity 8)



No. 11
# PaSe2
Computed powder X-ray diffraction pattern, Cu Kα, 1.54184 Å. Input: a PBE-relaxed structure.
No peak broadening, texture or thermal motion is included.

Principal peaks in the range 2θ = 5–70°, by angle:
two_theta	I_rel	h k l
12.93	100	0 0 4
26.50	26	1 0 1
28.08	34	1 0 3
29.40	25	1 0 4
31.03	37	1 0 5
35.02	50	1 0 7
37.33	23	1 0 8
39.81	24	1 0 9
46.40	41	1 1 0
48.38	24	1 1 4

Atomic structure:
Unit cell a=3.9136 b=3.9136 c=27.3930 alpha=90.00 beta=90.00 gamma=120.00
Space group P6_3mc (No. 186)
Asymmetric unit:
Pa 0.3333 0.6667 0.0000 (multiplicity 2)
Pa 0.3333 0.6667 0.2540 (multiplicity 2)
Se 0.0000 0.0000 0.0642 (multiplicity 2)
Se 0.0000 0.0000 0.4358 (multiplicity 2)
Se 0.3333 0.6667 0.6897 (multiplicity 2)
Se 0.3333 0.6667 0.8183 (multiplicity 2)



No. 12
# Pa4TeSe
Computed powder X-ray diffraction pattern, Cu Kα, 1.54184 Å. Input: a PBE-relaxed structure.
No peak broadening, texture or thermal motion is included.

Principal peaks in the range 2θ = 5–70°, by angle:
two_theta	I_rel	h k l
21.51	16	0 1 2
28.33	4	1 0 4
31.83	35	0 0 6
32.74	100	1 1 0
39.51	4	2 0 2
46.31	75	1 1 6
58.43	21	3 0 0
66.53	4	0 0 12
68.10	24	3 0 6
68.61	12	2 2 0

Atomic structure:
Unit cell a=5.4711 b=5.4711 c=16.8661 alpha=90.00 beta=90.00 gamma=120.00
Space group R-3m (No. 166, hexagonal axes)
Asymmetric unit:
Pa 0.0000 0.0000 0.1643 (multiplicity 6)
Pa 0.0000 0.0000 0.3257 (multiplicity 6)
Te 0.0000 0.0000 0.5000 (multiplicity 3)
Se 0.0000 0.0000 0.0000 (multiplicity 3)



Number 2 is which compound?
PaPt3